Computed X-ray powder pattern of K2TiH6 for Cu Kα (weighted mean of Kα1 and Kα2), from a PBE-relaxed structure.

The 12 most intense peaks (2θ = 10–90°), by intensity:
two_theta, Rel. int., (hkl)
30.20, 100.0, 2 2 0
18.36, 37.6, 1 1 1
53.64, 33.5, 4 2 2
43.23, 19.4, 4 0 0
35.57, 17.3, 3 1 1
87.12, 15.1, 6 4 2
71.24, 13.4, 6 2 0
62.79, 10.8, 4 4 0
21.23, 7.4, 2 0 0
47.33, 6.7, 3 3 1
57.18, 5.4, 5 1 1
66.02, 5.0, 5 3 1

Atomic structure:
```
data_K2TiH6
_chemical_formula_sum 'K8 Ti4 H24'
_space_group_name_H-M_alt 'F m -3 m'
_space_group_IT_number 225
_space_group_name_Hall '-F 4 2 3'
_cell_length_a 8.3713
_cell_length_b 8.3713
_cell_length_c 8.3713
_cell_angle_alpha 90.00
_cell_angle_beta 90.00
_cell_angle_gamma 90.00
loop_
_atom_site_label
_atom_site_fract_x
_atom_site_fract_y
_atom_site_fract_z
_atom_site_occupancy
K1 0.2500 0.2500 0.2500 1
Ti1 0.0000 0.0000 0.0000 1
H1 0.0000 0.0000 0.2177 1
```